No. 1
Diffraction record for La5Te3. The PXRD pattern is calculated, not measured: it uses a cell relaxed with PBE and Cu Kα X-rays.
Intensities are scaled so that the largest is 100.

The 10 most intense peaks (15 to 90 degrees two-theta), by angle:
2θ (°), I/Imax
27.21, 20.3
28.61, 28.2
31.77, 97.2
32.54, 79.2
33.18, 100.0
41.80, 16.8
47.16, 27.1
50.14, 18.0
51.04, 25.5
66.41, 21.3

Structural model:
a = 9.531 Å, b = 9.531 Å, c = 6.554 Å
α = 90.00°, β = 90.00°, γ = 120.00°
Fractional coordinates of all 16 atoms:
La1 0.000 0.260 0.250
La2 0.000 0.740 0.750
La3 0.260 0.000 0.250
La4 0.260 0.260 0.750
La5 0.333 0.667 0.000
La6 0.333 0.667 0.500
La7 0.667 0.333 0.000
La8 0.667 0.333 0.500
La9 0.740 0.000 0.750
La10 0.740 0.740 0.250
Te1 0.000 0.383 0.750
Te2 0.000 0.617 0.250
Te3 0.383 0.000 0.750
Te4 0.383 0.383 0.250
Te5 0.617 0.000 0.250
Te6 0.617 0.617 0.750


No. 2
Diffraction record for La4Te3. The PXRD pattern is calculated, not measured: it uses a cell relaxed with PBE and Cu Kα X-rays.
Intensities are scaled so that the largest is 100.

The 10 most intense peaks (15 to 90 degrees two-theta), by angle:
2θ (°), I/Imax
28.25, 100.0
35.18, 11.1
40.12, 32.2
40.63, 39.8
50.22, 20.2
58.42, 10.6
60.52, 9.0
65.76, 16.0
66.50, 17.2
73.59, 10.6

Structural model:
a = 14.994 Å, b = 14.994 Å, c = 14.994 Å
α = 17.03°, β = 17.03°, γ = 17.03°
Fractional coordinates of all 7 atoms:
La1 0.121 0.121 0.121
La2 0.369 0.369 0.369
La3 0.631 0.631 0.631
La4 0.879 0.879 0.879
Te1 0.255 0.255 0.255
Te2 0.500 0.500 0.500
Te3 0.745 0.745 0.745


Which formula does entry 2 have?
La4Te3